# 1
Structure and calculated X-ray powder pattern of Ca3SiO (a PBE-relaxed structure; Cu Kα).
Kinematic intensities with the Lorentz-polarization factor, no thermal factor.

```
Ca3SiO
1.0
-3.337 4.720 3.352
3.337 -4.720 3.352
3.337 4.720 -3.352
Ca Si O
6 2 2
Direct
0.227 0.000 0.727
0.227 0.500 0.227
0.294 0.044 0.250
0.706 0.956 0.750
0.773 0.000 0.273
0.773 0.500 0.773
0.249 0.499 0.750
0.751 0.501 0.250
0.000 0.000 0.000
0.500 0.000 0.500
```

Principal peaks in the range 5° ≤ 2θ ≤ 70°, in order of rising 2θ:
two_theta  I_rel
18.77  20
32.77  65
32.87  70
38.08  100
54.98  47
65.56  26

# 2
Structure and calculated X-ray powder pattern of CaSi5O10 (a PBE-relaxed structure; Cu Kα).
Kinematic intensities with the Lorentz-polarization factor, no thermal factor.

```
CaSi5O10
1.0
6.980 0.000 0.000
0.000 6.980 0.000
0.000 0.000 6.479
Ca Si O
1 5 10
Direct
0.000 0.000 0.000
0.231 0.500 0.381
0.500 0.231 0.619
0.500 0.500 0.000
0.500 0.769 0.619
0.769 0.500 0.381
0.000 0.500 0.380
0.308 0.308 0.500
0.308 0.500 0.143
0.308 0.692 0.500
0.500 0.000 0.620
0.500 0.308 0.857
0.500 0.692 0.857
0.692 0.308 0.500
0.692 0.500 0.143
0.692 0.692 0.500
```

Principal peaks in the range 5° ≤ 2θ ≤ 70°, in order of rising 2θ:
two_theta  I_rel
12.68  100
13.67  15
18.69  61
22.65  50
28.60  25
29.06  51

# 3
Structure and calculated X-ray powder pattern of CaSiO4 (a PBE-relaxed structure; Cu Kα).
Kinematic intensities with the Lorentz-polarization factor, no thermal factor.

```
CaSiO4
1.0
0.000 9.949 2.972
6.324 0.000 2.972
6.324 9.949 0.000
Ca Si O
4 4 16
Direct
0.274 0.726 0.426
0.676 0.824 0.524
0.726 0.274 0.574
0.824 0.676 0.976
0.138 0.870 0.969
0.227 0.281 0.380
0.281 0.227 0.112
0.870 0.138 0.023
0.007 0.661 0.018
0.133 0.133 0.867
0.178 0.992 0.527
0.232 0.935 0.243
0.383 0.383 0.117
0.389 0.483 0.306
0.428 0.944 0.767
0.483 0.389 0.822
0.629 0.629 0.371
0.661 0.007 0.315
0.723 0.947 0.072
0.879 0.879 0.621
0.935 0.232 0.589
0.944 0.428 0.861
0.947 0.723 0.258
0.992 0.178 0.303
```

Principal peaks in the range 5° ≤ 2θ ≤ 70°, in order of rising 2θ:
two_theta  I_rel
17.07  21
21.27  100
29.25  18
29.64  26
34.52  25
35.73  32